Structure and theoretical powder diffractogram of Ho2MgS4 (the PBE geometry in the Materials Project; Cu Kα, 1.54184 Å).
Lines closer than 0.1° are merged.

Most intense lines, 2θ from 15° to 90°, by intensity:
Position (°2θ), d_spacing, intensity
26.58, 3.354, 100
26.08, 3.416, 86
34.74, 2.583, 85
40.36, 2.235, 73
15.07, 5.881, 58
41.26, 2.188, 53
34.61, 2.592, 44
21.76, 4.083, 41
33.57, 2.670, 41
49.56, 1.839, 35

Structure:
```
Ho2MgS4
1.0
-4.083 4.083 4.238
4.083 -4.083 4.238
4.083 4.083 -4.238
Ho Mg S
4 2 8
Direct
0.007 0.625 0.882
0.375 0.257 0.382
0.743 0.125 0.118
0.875 0.993 0.618
0.250 0.750 0.500
0.500 0.500 0.000
0.007 0.879 0.262
0.121 0.383 0.128
0.133 0.371 0.628
0.255 0.993 0.872
0.495 0.867 0.238
0.617 0.745 0.738
0.629 0.257 0.762
0.743 0.505 0.372
```